[1]
Simulated powder XRD pattern
Compound: CsHF2
Radiation: Cu Kα
Structure: a crystal structure in the Materials Project, relaxed with PBE
Peak positions follow from Bragg's law for the DFT cell and can differ from measured ones.

Peak list (10 most intense, 2θ from 10° to 80°, in order of rising 2θ)
2theta	Rel. int.
20.1	72
22.4	17
28.6	43
30.3	100
36.7	45
40.9	17
46.0	30
47.1	21
51.8	24
66.9	19

Atomic structure:
```
8
Lattice="-3.120 3.120 3.964 3.120 -3.120 3.964 3.120 3.120 -3.964" Properties=species:S:1:pos:R:3 pbc="T T T"
Cs 0.000 0.000 1.982
Cs 0.000 0.000 5.946
H 3.120 0.000 0.000
H 0.000 3.120 0.000
F 3.935 0.816 0.000
F 0.816 2.304 0.000
F 2.304 0.816 3.964
F -0.816 2.304 3.964
```

[2]
Simulated powder XRD pattern
Compound: LiAg2F4
Radiation: Cu Kα
Structure: a crystal structure in the Materials Project, relaxed with PBE
Peak positions follow from Bragg's law for the DFT cell and can differ from measured ones.

Peak list (10 most intense, 2θ from 10° to 80°, in order of rising 2θ)
2theta	Rel. int.
16.4	100
31.7	73
33.1	33
38.5	69
42.1	31
50.7	24
55.5	46
58.3	20
66.2	15
78.5	15

Atomic structure:
```
14
Lattice="0.000 4.681 4.681 4.681 0.000 4.681 4.681 4.681 0.000" Properties=species:S:1:pos:R:3 pbc="T T T"
Li 1.170 1.170 1.170
Li 8.192 8.192 8.192
Ag 4.681 2.341 2.341
Ag 2.341 4.681 2.341
Ag 2.341 2.341 4.681
Ag 4.681 4.681 4.681
F 7.052 4.651 4.651
F 2.310 2.310 2.310
F 4.711 4.711 2.310
F 4.711 2.310 4.711
F 4.651 7.052 4.651
F 4.651 4.651 7.052
F 7.052 7.052 7.052
F 2.310 4.711 4.711
```

[3]
Simulated powder XRD pattern
Compound: NaMg14Mn
Radiation: Cu Kα
Structure: a crystal structure in the Materials Project, relaxed with PBE
Peak positions follow from Bragg's law for the DFT cell and can differ from measured ones.

Peak list (10 most intense, 2θ from 10° to 80°, in order of rising 2θ)
2theta	Rel. int.
32.2	24
32.3	12
35.1	38
36.8	100
36.9	49
48.4	22
57.6	17
64.1	27
69.2	19
70.2	13

Atomic structure:
```
16
Lattice="10.239 0.000 0.000 0.000 3.212 5.536 0.000 -3.212 5.536" Properties=species:S:1:pos:R:3 pbc="T T T"
Na 0.000 0.000 0.000
Mg 0.000 -1.601 2.779
Mg 0.000 1.601 2.779
Mg 2.510 0.000 7.352
Mg 2.546 -1.569 4.621
Mg 2.546 1.569 4.621
Mg 2.599 0.000 1.859
Mg 5.120 0.000 11.068
Mg 5.120 1.604 8.307
Mg 5.120 0.000 5.535
Mg 5.120 -1.604 8.307
Mg 7.640 0.000 1.859
Mg 7.693 -1.569 4.621
Mg 7.693 1.569 4.621
Mg 7.729 0.000 7.352
Mn 0.000 0.000 5.513
```

[4]
Simulated powder XRD pattern
Compound: CeHfO14
Radiation: Cu Kα
Structure: a crystal structure in the Materials Project, relaxed with PBE
Peak positions follow from Bragg's law for the DFT cell and can differ from measured ones.

Peak list (10 most intense, 2θ from 10° to 80°, in order of rising 2θ)
2theta	Rel. int.
14.4	6
23.6	100
33.7	15
41.5	75
44.2	5
48.3	17
54.5	30
60.2	9
65.6	24
75.8	19

Atomic structure:
```
32
Lattice="0.000 5.327 5.327 5.327 0.000 5.327 5.327 5.327 0.000" Properties=species:S:1:pos:R:3 pbc="T T T"
Ce 1.332 1.332 1.332
Ce 9.322 9.322 9.322
Hf 3.995 3.995 3.995
Hf 6.658 6.658 6.658
O 0.000 0.000 0.000
O 2.663 2.663 0.000
O 2.663 0.000 2.663
O 3.809 2.379 2.379
O 5.611 4.181 2.379
O 5.611 2.379 4.181
O 6.845 5.042 5.042
O 8.275 6.472 5.042
O 8.275 5.042 6.472
O 2.379 3.809 2.379
O 4.181 5.611 2.379
O 2.379 2.379 3.809
O 5.611 5.611 3.809
O 4.181 2.379 5.611
O 5.611 3.809 5.611
O 0.000 2.663 2.663
O 5.042 6.845 5.042
O 6.472 8.275 5.042
O 5.042 5.042 6.845
O 8.275 8.275 6.845
O 6.472 5.042 8.275
O 8.275 6.845 8.275
O 2.379 5.611 4.181
O 2.379 4.181 5.611
O 3.809 5.611 5.611
O 5.042 8.275 6.472
O 5.042 6.472 8.275
O 6.845 8.275 8.275
```

[5]
Simulated powder XRD pattern
Compound: Y2Co7B3
Radiation: Cu Kα
Structure: a crystal structure in the Materials Project, relaxed with PBE
Peak positions follow from Bragg's law for the DFT cell and can differ from measured ones.

Peak list (10 most intense, 2θ from 10° to 80°, in order of rising 2θ)
2theta	Rel. int.
34.9	72
35.5	12
41.1	11
41.3	100
45.9	75
50.7	13
63.4	24
71.1	19
73.7	12
75.3	23

Atomic structure:
```
24
Lattice="5.051 0.000 0.000 -2.525 4.374 0.000 0.000 0.000 12.717" Properties=species:S:1:pos:R:3 pbc="T T T"
Y 0.000 0.000 0.000
Y 0.000 0.000 3.040
Y 0.000 0.000 6.359
Y 0.000 0.000 9.677
Co -1.263 2.187 1.470
Co -1.263 2.187 4.397
Co -1.263 2.187 8.320
Co -1.263 2.187 11.247
Co 0.000 2.916 6.359
Co 2.525 0.000 1.470
Co 2.525 0.000 4.397
Co 2.525 0.000 8.320
Co 2.525 0.000 11.247
Co 1.263 2.187 1.470
Co 1.263 2.187 4.397
Co 1.263 2.187 8.320
Co 1.263 2.187 11.247
Co 2.525 1.458 6.359
B 0.000 2.916 0.000
B 0.000 2.916 2.947
B 0.000 2.916 9.770
B 2.525 1.458 0.000
B 2.525 1.458 2.947
B 2.525 1.458 9.770
```

[6]
Simulated powder XRD pattern
Compound: CdHg4Se5
Radiation: Cu Kα
Structure: a crystal structure in the Materials Project, relaxed with PBE
Peak positions follow from Bragg's law for the DFT cell and can differ from measured ones.

Peak list (10 most intense, 2θ from 10° to 80°, in order of rising 2θ)
2theta	Rel. int.
24.6	100
28.5	14
40.7	70
48.2	50
50.5	4
59.0	12
64.9	21
66.8	4
74.2	24
79.5	16

Atomic structure:
```
10
Lattice="-2.215 2.215 15.649 2.215 -2.215 15.649 2.215 2.215 -15.649" Properties=species:S:1:pos:R:3 pbc="T T T"
Cd 0.000 0.000 0.000
Hg 0.000 0.000 6.259
Hg 0.000 0.000 12.523
Hg 0.000 0.000 18.775
Hg 0.000 0.000 25.039
Se 2.215 0.000 4.695
Se 2.215 0.000 10.954
Se 0.000 2.215 1.543
Se 0.000 2.215 7.825
Se 0.000 2.215 14.106
```

[7]
Simulated powder XRD pattern
Compound: Sb2S3
Radiation: Cu Kα
Structure: a crystal structure in the Materials Project, relaxed with PBE
Peak positions follow from Bragg's law for the DFT cell and can differ from measured ones.

Peak list (10 most intense, 2θ from 10° to 80°, in order of rising 2θ)
2theta	Rel. int.
14.5	44
16.5	60
23.3	54
24.9	55
28.9	79
31.7	100
33.4	45
45.7	35
46.8	58
50.7	39

Atomic structure:
```
20
Lattice="3.877 0.000 0.000 0.000 12.201 0.000 0.000 0.000 11.214" Properties=species:S:1:pos:R:3 pbc="T T T"
Sb 0.000 1.274 0.000
Sb 0.000 3.425 4.085
Sb 0.000 7.502 6.347
Sb 0.000 9.581 2.332
Sb 1.939 2.621 7.939
Sb 1.939 4.699 0.740
Sb 1.939 8.777 9.693
Sb 1.939 10.927 5.607
S 0.000 1.560 6.611
S 0.000 3.533 10.164
S 0.000 5.408 2.456
S 0.000 7.638 10.928
S 0.000 9.770 7.363
S 0.000 11.622 3.852
S 1.939 0.579 9.459
S 1.939 2.431 1.756
S 1.939 4.563 5.321
S 1.939 6.793 8.063
S 1.939 8.668 4.557
S 1.939 10.641 1.004
```

[8]
Simulated powder XRD pattern
Compound: NaEuHfZrO6
Radiation: Cu Kα
Structure: a crystal structure in the Materials Project, relaxed with PBE
Peak positions follow from Bragg's law for the DFT cell and can differ from measured ones.

Peak list (10 most intense, 2θ from 10° to 80°, in order of rising 2θ)
2theta	Rel. int.
18.6	30
21.5	12
30.6	100
36.1	18
43.9	32
48.1	8
54.5	40
58.1	6
63.8	20
72.4	17

Atomic structure:
```
10
Lattice="0.000 4.127 4.127 4.127 0.000 4.127 4.127 4.127 0.000" Properties=species:S:1:pos:R:3 pbc="T T T"
Na 0.000 0.000 0.000
Eu 4.127 4.127 4.127
Hf 6.190 6.190 6.190
Zr 2.063 2.063 2.063
O 6.190 6.190 4.141
O 6.190 4.141 6.190
O 8.239 6.190 6.190
O 4.141 6.190 6.190
O 6.190 8.239 6.190
O 6.190 6.190 8.239
```